This entry pairs a crystal structure of Ca3Cu3As4O16 with its simulated powder XRD pattern. Radiation: Cu Ka. Structure: the PBE geometry in Alexandria.

The 10 most intense peaks (2θ = 5–70°), in order of rising 2θ:
h k l, 2theta, I/Imax
1 0 -2, 11.77, 95
0 1 1, 18.20, 32
0 0 4, 23.54, 51
2 1 -1, 26.14, 90
1 1 3, 30.06, 78
1 1 -5, 31.71, 43
1 0 -6, 32.15, 41
3 1 -3, 33.96, 100
0 2 0, 34.85, 65
2 2 -6, 48.14, 32

Atomic structure:
Cell: 9.277 5.148 16.944 Å, 90.00 116.75 90.00°
Fractional coordinates of all 52 atoms:
Ca1 0.000 0.000 0.000
Ca2 0.000 0.500 0.500
Ca3 0.303 0.032 0.268
Ca4 0.303 0.468 0.768
Ca5 0.697 0.532 0.232
Ca6 0.697 0.968 0.732
Cu1 0.210 0.528 0.381
Cu2 0.210 0.972 0.881
Cu3 0.500 0.000 0.500
Cu4 0.500 0.500 0.000
Cu5 0.790 0.028 0.119
Cu6 0.790 0.472 0.619
As1 0.039 0.508 0.159
As2 0.039 0.992 0.659
As3 0.435 0.508 0.594
As4 0.435 0.992 0.094
As5 0.565 0.008 0.906
As6 0.565 0.492 0.406
As7 0.961 0.008 0.341
As8 0.961 0.492 0.841
O1 0.036 0.661 0.643
O2 0.036 0.839 0.143
O3 0.106 0.162 0.597
O4 0.106 0.338 0.097
O5 0.146 0.594 0.850
O6 0.146 0.906 0.350
O7 0.191 0.053 0.766
O8 0.191 0.447 0.266
O9 0.251 0.566 0.504
O10 0.251 0.934 0.004
O11 0.421 0.200 0.921
O12 0.421 0.300 0.421
O13 0.436 0.613 0.689
O14 0.436 0.887 0.189
O15 0.499 0.690 0.898
O16 0.499 0.810 0.398
O17 0.501 0.190 0.602
O18 0.501 0.310 0.102
O19 0.564 0.113 0.811
O20 0.564 0.387 0.311
O21 0.579 0.700 0.579
O22 0.579 0.800 0.079
O23 0.749 0.066 0.996
O24 0.749 0.434 0.496
O25 0.809 0.553 0.734
O26 0.809 0.947 0.234
O27 0.854 0.094 0.650
O28 0.854 0.406 0.150
O29 0.894 0.662 0.903
O30 0.894 0.838 0.403
O31 0.964 0.161 0.857
O32 0.964 0.339 0.357